The following is a theoretical X-ray powder pattern of K4NaCu3F12. It was derived from a crystal structure in Alexandria, relaxed with PBE, using CuKα.
Peak positions follow from Bragg's law for the DFT cell and can differ from measured ones.

The 10 most intense peaks (5 to 70 degrees two-theta), most intense first:
- d 2.915, 30.67 deg, rel. 100
- d 2.061, 43.92 deg, rel. 66
- d 1.458, 63.86 deg, rel. 36
- d 1.683, 54.52 deg, rel. 35
- d 4.123, 21.55 deg, rel. 26
- d 5.831, 15.20 deg, rel. 16
- d 1.844, 49.43 deg, rel. 11
- d 2.380, 37.79 deg, rel. 9
- d 3.366, 26.48 deg, rel. 8
- d 1.374, 68.25 deg, rel. 4

Crystal structure
abc: 8.2456 8.2456 8.2456
angles: 90.00 90.00 90.00
Space group Im-3m (No. 229)
One atom of each set of equivalent atoms:
1 K 0.2500 0.2500 0.2500 x8
2 Na 0.0000 0.0000 0.0000 x2
3 Cu 0.0000 0.0000 0.5000 x6
4 F 0.0000 0.0000 0.2705 x12
5 F 0.0000 0.2500 0.5000 x12